[1]
Simulated powder diffractogram
Compound: Na5Ni2PC4O16
Radiation: a wavelength of 1.5418 Å
Structure: a PBE+U-relaxed structure

Main lines, low angle first (10° ≤ 2θ ≤ 90°):
- 10.97 deg, 8.069 Å, I = 84
- 20.97 deg, 4.236 Å, I = 67
- 21.13 deg, 4.204 Å, I = 100
- 33.10 deg, 2.707 Å, I = 40
- 33.36 deg, 2.686 Å, I = 65
- 33.44 deg, 2.680 Å, I = 46
- 36.29 deg, 2.475 Å, I = 70
- 36.48 deg, 2.463 Å, I = 32

Structural model:
Cell lengths 9.8970, 9.8970, 9.8449 Å; angles 119.76, 119.76, 90.64 degrees
Sites, in units of the cell vectors:
1 Na 0.0881 0.9119 0.7500
2 Na 0.0902 0.3445 0.1773
3 Na 0.0906 0.3454 0.7574
4 Na 0.3445 0.0902 0.6773
5 Na 0.3454 0.0906 0.2574
6 Na 0.6546 0.9094 0.7426
7 Na 0.6555 0.9098 0.3227
8 Na 0.9094 0.6546 0.2426
9 Na 0.9098 0.6555 0.8227
10 Na 0.9119 0.0881 0.2500
11 Ni 0.0000 0.5000 0.5000
12 Ni 0.5000 0.0000 0.0000
13 Ni 0.5000 0.5000 0.0000
14 Ni 0.5000 0.5000 0.5000
15 P 0.1231 0.8769 0.2500
16 P 0.8769 0.1231 0.7500
17 C 0.2821 0.3493 0.5654
18 C 0.2839 0.7159 0.5676
19 C 0.2841 0.7161 0.9324
20 C 0.3493 0.2821 0.0654
21 C 0.6507 0.7179 0.9346
22 C 0.7159 0.2839 0.0676
23 C 0.7161 0.2841 0.4324
24 C 0.7179 0.6507 0.4346
25 O 0.0598 0.6846 0.1231
26 O 0.0609 0.9391 0.1207
27 O 0.0609 0.9391 0.3793
28 O 0.1392 0.6941 0.5379
29 O 0.1395 0.3464 0.4463
30 O 0.1401 0.6007 0.7939
31 O 0.3045 0.3455 0.7045
32 O 0.3059 0.8608 0.9621
33 O 0.3086 0.5963 0.4560
34 O 0.3154 0.9402 0.3769
35 O 0.3464 0.1395 0.9463
36 O 0.3455 0.3045 0.2045
37 O 0.3481 0.3975 0.0396
38 O 0.3975 0.3481 0.5396
39 O 0.3993 0.8599 0.7061
40 O 0.4037 0.6914 0.0440
41 O 0.5963 0.3086 0.9560
42 O 0.6007 0.1401 0.2939
43 O 0.6025 0.6519 0.4604
44 O 0.6519 0.6025 0.9604
45 O 0.6545 0.6955 0.7955
46 O 0.6536 0.8605 0.0537
47 O 0.6846 0.0598 0.6231
48 O 0.6914 0.4037 0.5440
49 O 0.6941 0.1392 0.0379
50 O 0.6955 0.6545 0.2955
51 O 0.8599 0.3993 0.2061
52 O 0.8605 0.6536 0.5537
53 O 0.8608 0.3059 0.4621
54 O 0.9391 0.0609 0.6207
55 O 0.9391 0.0609 0.8793
56 O 0.9402 0.3154 0.8769


[2]
Simulated powder diffractogram
Compound: Li9Mn2Co5O16
Radiation: a wavelength of 1.5418 Å
Structure: a PBE+U-relaxed structure

Main lines, low angle first (10° ≤ 2θ ≤ 90°):
- 18.28 deg, 4.853 Å, I = 100
- 35.51 deg, 2.528 Å, I = 14
- 36.09 deg, 2.488 Å, I = 15
- 36.27 deg, 2.477 Å, I = 12
- 37.49 deg, 2.399 Å, I = 8
- 42.81 deg, 2.112 Å, I = 29
- 43.85 deg, 2.065 Å, I = 53
- 57.71 deg, 1.598 Å, I = 9

Structural model:
Cell lengths 5.0624, 5.1237, 11.4749 Å; angles 80.08, 84.51, 80.18 degrees
Sites, in units of the cell vectors:
1 Li 0.0000 0.0000 0.0000
2 Li 0.0013 0.4945 0.4792
3 Li 0.0086 0.2509 0.7408
4 Li 0.0180 0.7500 0.2422
5 Li 0.2575 0.1860 0.3030
6 Li 0.5021 0.6265 0.3608
7 Li 0.5042 0.3781 0.6115
8 Li 0.5058 0.1244 0.8692
9 Li 0.5148 0.8769 0.1276
10 Mn 0.2563 0.6848 0.8032
11 Mn 0.7576 0.0572 0.4254
12 Co 0.2555 0.4297 0.0632
13 Co 0.2564 0.9437 0.5456
14 Co 0.7531 0.3191 0.1841
15 Co 0.7531 0.8089 0.6765
16 Co 0.7626 0.5653 0.9310
17 O 0.1095 0.8496 0.4073
18 O 0.1242 0.3732 0.8951
19 O 0.1259 0.1215 0.1421
20 O 0.1353 0.6126 0.6571
21 O 0.3733 0.0022 0.7125
22 O 0.3917 0.7527 0.9470
23 O 0.3933 0.2499 0.4665
24 O 0.4018 0.5261 0.2027
25 O 0.6128 0.4931 0.7662
26 O 0.6317 0.7378 0.5222
27 O 0.6376 0.2529 0.0183
28 O 0.6509 0.9777 0.2836
29 O 0.8672 0.3749 0.3405
30 O 0.8684 0.1297 0.5805
31 O 0.8912 0.6504 0.0846
32 O 0.8944 0.8760 0.8339


[3]
Simulated powder diffractogram
Compound: Na2MgMnP2O7F3
Radiation: a wavelength of 1.5418 Å
Structure: a PBE+U-relaxed structure

Main lines, low angle first (10° ≤ 2θ ≤ 90°):
- 10.91 deg, 8.113 Å, I = 39
- 17.48 deg, 5.073 Å, I = 53
- 23.22 deg, 3.830 Å, I = 50
- 27.43 deg, 3.251 Å, I = 76
- 29.22 deg, 3.056 Å, I = 100
- 31.52 deg, 2.838 Å, I = 27
- 37.79 deg, 2.381 Å, I = 29
- 38.51 deg, 2.338 Å, I = 23

Structural model:
Cell lengths 4.8325, 5.6137, 8.4581 Å; angles 104.95, 92.58, 105.01 degrees
Sites, in units of the cell vectors:
1 Na 0.0000 0.0000 0.0000
2 Na 0.3897 0.7447 0.6806
3 Mg 0.4843 0.2409 0.3429
4 Mn 0.7147 0.3944 0.8616
5 P 0.0364 0.0921 0.5572
6 P 0.3300 0.6206 0.1275
7 O 0.0323 0.4326 0.0486
8 O 0.0538 0.8241 0.5014
9 O 0.3095 0.8992 0.1911
10 O 0.3191 0.3016 0.5641
11 O 0.4559 0.5213 0.2588
12 O 0.5377 0.6376 0.9864
13 O 0.8542 0.1437 0.6984
14 F 0.4496 0.1073 0.8961
15 F 0.8415 0.1424 0.4027
16 F 0.9102 0.6592 0.7760


[4]
Simulated powder diffractogram
Compound: VPO5
Radiation: a wavelength of 1.5418 Å
Structure: a PBE+U-relaxed structure

Main lines, low angle first (10° ≤ 2θ ≤ 90°):
- 18.35 deg, 4.834 Å, I = 18
- 18.88 deg, 4.701 Å, I = 16
- 19.42 deg, 4.570 Å, I = 36
- 22.09 deg, 4.024 Å, I = 18
- 24.36 deg, 3.654 Å, I = 13
- 27.35 deg, 3.261 Å, I = 41
- 27.92 deg, 3.196 Å, I = 100
- 57.64 deg, 1.599 Å, I = 16

Structural model:
Cell lengths 7.3678, 7.3678, 10.3087 Å; angles 112.57, 112.57, 41.21 degrees
Sites, in units of the cell vectors:
1 V 0.0000 0.5000 0.5000
2 V 0.0332 0.9668 0.7500
3 V 0.5000 0.0000 0.0000
4 V 0.9668 0.0332 0.2500
5 P 0.3516 0.3989 0.3072
6 P 0.3989 0.3516 0.8072
7 P 0.6011 0.6484 0.1928
8 P 0.6484 0.6011 0.6928
9 O 0.0547 0.1990 0.4031
10 O 0.1693 0.7137 0.3241
11 O 0.1990 0.0547 0.9031
12 O 0.2409 0.6601 0.8464
13 O 0.2806 0.3589 0.4089
14 O 0.2856 0.2954 0.6517
15 O 0.2863 0.8307 0.1759
16 O 0.2954 0.2856 0.1517
17 O 0.3399 0.7591 0.6536
18 O 0.3589 0.2806 0.9089
19 O 0.6411 0.7193 0.0911
20 O 0.6601 0.2409 0.3464
21 O 0.7046 0.7144 0.8483
22 O 0.7137 0.1693 0.8241
23 O 0.7144 0.7046 0.3483
24 O 0.7194 0.6411 0.5911
25 O 0.7591 0.3399 0.1536
26 O 0.8010 0.9453 0.0969
27 O 0.8307 0.2863 0.6759
28 O 0.9453 0.8010 0.5969